For TeBrCl2, a GGA-PBE-relaxed structure gives the calculated powder X-ray diffraction pattern in this record (Cu Kα (λ = 1.5418 Å)).
Peak positions follow from Bragg's law for the DFT cell and can differ from measured ones.

Atomic structure:
a b c (Å): 5.422 4.226 7.340
angles (deg): 90.00 111.56 90.00
Element x y z (fractional)
Te  0.000  0.000  0.000
Br  0.865  0.500  0.729
Cl  0.122  0.500  0.244
Cl  0.502  0.000  0.003

Peak list (10 most intense, 2θ from 15° to 90°, by angle)
2θ/deg	intensity	hkl
17.60	100	1 0 0
24.78	47	0 1 1
33.04	27	2 0 -1
33.32	46	1 1 1
33.76	51	0 1 2
35.64	14	2 0 0
41.74	23	2 1 -2
42.81	31	0 2 0
46.61	16	1 2 0
47.96	36	2 1 1



For In11AgHg17, a GGA-PBE-relaxed structure gives the calculated powder X-ray diffraction pattern in this record (Cu Kα (λ = 1.5418 Å)).
Peak positions follow from Bragg's law for the DFT cell and can differ from measured ones.

Atomic structure:
a b c (Å): 7.382 10.063 11.465
angles (deg): 113.09 91.27 95.26
Element x y z (fractional)
In  0.000  0.000  0.000
In  0.016  0.197  0.850
In  0.164  0.621  0.322
In  0.324  0.260  0.136
In  0.534  0.234  0.403
In  0.592  0.975  0.621
In  0.630  0.997  0.120
In  0.705  0.789  0.788
In  0.829  0.798  0.409
In  0.883  0.550  0.534
In  0.928  0.738  0.118
Ag  0.564  0.477  0.652
Hg  0.007  0.565  0.824
Hg  0.057  0.882  0.672
Hg  0.181  0.362  0.542
Hg  0.220  0.492  0.033
Hg  0.241  0.987  0.217
Hg  0.253  0.010  0.493
Hg  0.305  0.811  0.881
Hg  0.370  0.675  0.571
Hg  0.374  0.288  0.762
Hg  0.495  0.762  0.228
Hg  0.537  0.109  0.905
Hg  0.573  0.598  0.937
Hg  0.578  0.505  0.322
Hg  0.766  0.406  0.056
Hg  0.806  0.263  0.659
Hg  0.892  0.083  0.377
Hg  0.948  0.308  0.254

Peak list (10 most intense, 2θ from 15° to 90°, by angle)
2θ/deg	intensity	hkl
30.63	61	1 3 -1
30.79	57	2 -2 2
31.48	62	2 2 -1
31.71	89	-2 1 2
32.00	58	1 -3 3
32.85	32	2 2 0
33.43	40	2 1 -3
34.09	100	1 1 3
38.30	31	3 0 1
41.16	36	1 2 -5



For Zr2ZnIn, a GGA-PBE-relaxed structure gives the calculated powder X-ray diffraction pattern in this record (Cu Kα (λ = 1.5418 Å)).
Peak positions follow from Bragg's law for the DFT cell and can differ from measured ones.

Atomic structure:
a b c (Å): 3.114 4.194 6.271
angles (deg): 90.00 90.19 90.00
Element x y z (fractional)
Zr  0.000  0.000  0.239
Zr  0.000  0.000  0.761
Zn  0.500  0.500  0.000
In  0.500  0.500  0.500

Peak list (10 most intense, 2θ from 15° to 90°, by angle)
2θ/deg	intensity	hkl
35.75	100	0 1 2
35.92	100	1 1 0
40.77	34	1 0 -2
40.92	34	1 0 2
43.14	29	0 2 0
60.86	20	1 2 -2
60.96	20	1 2 2
70.86	12	1 1 -4
71.17	12	2 1 -2
71.37	12	2 1 2



For SmYSi2, a GGA-PBE-relaxed structure gives the calculated powder X-ray diffraction pattern in this record (Cu Kα (λ = 1.5418 Å)).
Peak positions follow from Bragg's law for the DFT cell and can differ from measured ones.

Atomic structure:
a b c (Å): 3.874 4.346 10.685
angles (deg): 90.00 90.00 90.00
Element x y z (fractional)
Sm  0.000  0.000  0.000
Sm  0.000  0.500  0.500
Y  0.500  0.000  0.280
Y  0.500  0.500  0.780
Si  0.000  0.000  0.716
Si  0.000  0.500  0.216
Si  0.500  0.000  0.567
Si  0.500  0.500  0.067

Peak list (10 most intense, 2θ from 15° to 90°, by angle)
2θ/deg	intensity	hkl
22.08	33	0 1 1
28.46	53	1 0 2
32.06	100	1 1 1
32.50	52	0 1 3
33.55	28	0 0 4
40.17	37	1 1 3
41.56	23	0 2 0
51.14	21	1 2 2
53.30	18	1 1 5
58.23	19	2 1 3